No. 1
This entry pairs a crystal structure of BaPr2Ti3O10 with its computed powder XRD pattern. Radiation: λ = 1.5418 Å (Cu Kα). Structure: a DFT-relaxed cell (GGA-PBE, the Materials Project).

Crystal structure
Cell: 3.9343 28.6620 7.7046 Å, 90.00 90.00 90.00°
Space group Cmcm (No. 63)
Asymmetric unit:
Ba  0.0000  0.2407  0.2500 x4
Pr  0.0000  0.0726  0.2500 x4
Pr  0.0000  0.0796  0.7500 x4
Ti  0.0000  0.3542  0.5042 x8
Ti  0.0000  0.5000  0.0000 x4
O  0.0000  0.0000  0.0000 x4
O  0.0000  0.1310  0.0071 x8
O  0.0000  0.2932  0.5426 x8
O  0.0000  0.3553  0.2500 x4
O  0.0000  0.3768  0.7500 x4
O  0.0000  0.4337  0.0496 x8
O  0.0000  0.4840  0.7500 x4

Largest 10 diffraction maxima, sorted by position, 2θ = 10–80°:
18.6°, I = 35
29.8°, I = 100
31.5°, I = 49
32.7°, I = 57
39.4°, I = 36
46.1°, I = 26
47.2°, I = 28
53.2°, I = 32
55.9°, I = 28
57.9°, I = 22

---

No. 2
This entry pairs a crystal structure of Ba3Pt2O7 with its computed powder XRD pattern. Radiation: λ = 1.5418 Å (Cu Kα). Structure: a DFT-relaxed cell (GGA-PBE, the Materials Project).

Crystal structure
Cell: 10.2637 17.7240 8.8576 Å, 90.00 90.46 90.00°
Space group Cc (No. 9)
Asymmetric unit:
Ba  0.0000  0.0032  0.0000 x4
Ba  0.0098  0.3340  0.5024 x4
Ba  0.3337  0.3336  0.7528 x4
Ba  0.3463  0.3466  0.2694 x4
Ba  0.3628  0.0101  0.7696 x4
Ba  0.4961  0.1674  0.5002 x4
Pt  0.1600  0.1634  0.5961 x4
Pt  0.1664  0.1669  0.9185 x4
Pt  0.1658  0.4920  0.6432 x4
Pt  0.2286  0.1669  0.2567 x4
O  0.0906  0.2369  0.7559 x4
O  0.0924  0.4049  0.7555 x4
O  0.1049  0.0885  0.7605 x4
O  0.1106  0.4097  0.2182 x4
O  0.2229  0.2371  0.4362 x4
O  0.2318  0.2409  0.0780 x4
O  0.2359  0.0936  0.4355 x4
O  0.2393  0.0959  0.0786 x4
O  0.2414  0.4104  0.5197 x4
O  0.3222  0.1702  0.7535 x4
O  0.3432  0.4984  0.7423 x4
O  0.4868  0.3441  0.9896 x4
O  0.4978  0.0079  0.0246 x4
O  0.4981  0.3328  0.5306 x4

Largest 10 diffraction maxima, sorted by position, 2θ = 10–80°:
17.3°, I = 32
26.5°, I = 30
26.7°, I = 29
30.2°, I = 100
40.6°, I = 28
40.8°, I = 20
51.3°, I = 11
51.6°, I = 13
53.7°, I = 11
54.9°, I = 10

---

No. 3
This entry pairs a crystal structure of BaPtO3 with its computed powder XRD pattern. Radiation: λ = 1.5418 Å (Cu Kα). Structure: a DFT-relaxed cell (GGA-PBE, the Materials Project).

Crystal structure
Cell: 4.1382 4.1382 4.1382 Å, 90.00 90.00 90.00°
Space group Pm-3m (No. 221)
Asymmetric unit:
Ba  0.0000  0.0000  0.0000 x1
Pt  0.5000  0.5000  0.5000 x1
O  0.0000  0.5000  0.5000 x3

Largest 8 diffraction maxima, sorted by position, 2θ = 10–80°:
21.5°, I = 8
30.6°, I = 100
43.8°, I = 27
49.2°, I = 3
54.3°, I = 41
63.6°, I = 17
68.0°, I = 2
72.2°, I = 18

---

No. 4
This entry pairs a crystal structure of BaPt3O4 with its computed powder XRD pattern. Radiation: λ = 1.5418 Å (Cu Kα). Structure: a DFT-relaxed cell (GGA-PBE, the Materials Project).

Crystal structure
Cell: 6.0595 6.0595 6.0595 Å, 90.00 90.00 90.00°
Space group Pm-3n (No. 223)
Asymmetric unit:
Ba  0.0000  0.0000  0.0000 x2
Pt  0.0000  0.2500  0.5000 x6
O  0.2500  0.2500  0.2500 x8

Largest 10 diffraction maxima, sorted by position, 2θ = 10–80°:
29.5°, I = 15
33.1°, I = 100
36.3°, I = 55
52.3°, I = 16
54.6°, I = 25
56.9°, I = 31
61.2°, I = 17
69.4°, I = 6
71.3°, I = 22
73.3°, I = 7